Diffraction record for LiFeP4O12. The powder diffractogram is theoretical, not measured: it uses a DFT-relaxed cell (GGA+U, Alexandria) and Cu Kα.
No peak broadening, texture or thermal motion is included.

Main lines, by angle (10° ≤ 2θ ≤ 90°):
two_theta	I (rel.)
13.51	37
18.37	42
21.06	36
21.52	62
22.38	25
23.68	35
27.07	100
31.11	25

Structural model:
a = 8.552 Å, b = 8.552 Å, c = 9.727 Å
α = 118.49°, β = 118.49°, γ = 51.00°
Atoms (fractional coordinates):
1 Li 0.194 0.806 0.750
2 Li 0.806 0.194 0.250
3 Fe 0.362 0.638 0.250
4 Fe 0.638 0.362 0.750
5 P 0.051 0.212 0.641
6 P 0.196 0.534 0.841
7 P 0.212 0.051 0.141
8 P 0.466 0.804 0.659
9 P 0.534 0.196 0.341
10 P 0.788 0.949 0.859
11 P 0.804 0.466 0.159
12 P 0.949 0.788 0.359
13 O 0.008 0.830 0.537
14 O 0.013 0.258 0.206
15 O 0.103 0.705 0.273
16 O 0.142 0.362 0.716
17 O 0.170 0.992 0.963
18 O 0.248 0.535 0.011
19 O 0.258 0.013 0.706
20 O 0.295 0.897 0.227
21 O 0.352 0.512 0.790
22 O 0.362 0.142 0.216
23 O 0.465 0.752 0.489
24 O 0.488 0.648 0.710
25 O 0.512 0.352 0.290
26 O 0.535 0.248 0.511
27 O 0.638 0.858 0.784
28 O 0.648 0.488 0.210
29 O 0.705 0.103 0.773
30 O 0.742 0.987 0.294
31 O 0.752 0.465 0.989
32 O 0.830 0.008 0.037
33 O 0.858 0.638 0.284
34 O 0.897 0.295 0.727
35 O 0.987 0.742 0.794
36 O 0.992 0.170 0.463